Diffraction record for BiRhO3. The powder diffraction line list is simulated, not measured: it uses a DFT-relaxed cell (GGA-PBE, the Materials Project) and Cu Kα (λ = 1.5418 Å).
Intensities are scaled so that the largest is 100.

Most intense lines, 5° ≤ 2θ ≤ 70°, sorted by position:
h k l  2θ/deg  intensity
1 1 1  24.98  17
2 0 0  30.19  21
1 2 1  32.00  100
0 0 2  32.93  25
0 4 0  46.48  20
1 2 3  58.22  22

Structural model:
```
BiRhO3
1.0
5.921 0.000 0.000
0.000 7.812 0.000
0.000 0.000 5.440
Bi Rh O
4 4 12
Direct
0.067 0.250 0.017
0.433 0.750 0.517
0.567 0.250 0.483
0.933 0.750 0.983
0.000 0.000 0.500
0.000 0.500 0.500
0.500 0.000 0.000
0.500 0.500 0.000
0.046 0.750 0.379
0.187 0.547 0.826
0.187 0.953 0.826
0.313 0.047 0.326
0.313 0.453 0.326
0.454 0.250 0.879
0.546 0.750 0.121
0.687 0.547 0.674
0.687 0.953 0.674
0.813 0.047 0.174
0.813 0.453 0.174
0.954 0.250 0.621
```